For Li2Mn3NbO8, a GGA+U-relaxed structure gives the computed XRD peak list in this record (Cu Kα (λ = 1.5418 Å)).

Peak list (10 most intense, 15 to 90 degrees two-theta, in order of rising 2θ)
2θ (°), I_rel
17.90, 46
18.78, 88
19.42, 93
19.68, 100
31.23, 53
35.09, 48
35.59, 54
36.06, 53
56.75, 47
62.17, 52

Cell and atoms:
```
data_Li2Mn3NbO8
_cell_length_a 5.9766
_cell_length_b 5.9766
_cell_length_c 9.9303
_cell_angle_alpha 91.88
_cell_angle_beta 91.88
_cell_angle_gamma 119.08
_space_group_name_H-M_alt 'P 1'
_space_group_IT_number 1
_space_group_name_Hall 'P 1'
loop_
_atom_site_label
_atom_site_fract_x
_atom_site_fract_y
_atom_site_fract_z
_atom_site_occupancy
Li1 0.0036 0.9964 0.5000 1
Li2 0.3419 0.6729 0.0844 1
Li3 0.6729 0.3419 0.5844 1
Li4 0.9964 0.0036 0.0000 1
Mn1 0.1640 0.8288 0.7756 1
Mn2 0.1674 0.3356 0.7744 1
Mn3 0.3356 0.1674 0.2744 1
Mn4 0.6545 0.8299 0.7729 1
Mn5 0.8288 0.1640 0.2756 1
Mn6 0.8299 0.6545 0.2729 1
Nb1 0.3517 0.6842 0.4988 1
Nb2 0.6842 0.3517 0.9988 1
O1 0.0355 0.5106 0.6557 1
O2 0.1350 0.7968 0.3965 1
O3 0.1605 0.3140 0.3943 1
O4 0.3140 0.1605 0.8943 1
O5 0.3387 0.6724 0.8725 1
O6 0.4651 0.9715 0.6291 1
O7 0.4950 0.5337 0.6415 1
O8 0.5106 0.0355 0.1557 1
O9 0.5337 0.4950 0.1415 1
O10 0.6523 0.8261 0.4018 1
O11 0.6724 0.3387 0.3725 1
O12 0.7968 0.1350 0.8965 1
O13 0.8261 0.6523 0.9018 1
O14 0.9715 0.4651 0.1291 1
O15 0.9836 0.9888 0.6867 1
O16 0.9888 0.9836 0.1867 1
```